# 1
K3Dy2PbS6: simulated powder diffraction line list (Cu Kα (λ = 1.5418 Å)), based on a DFT-relaxed cell (PBE, Alexandria).
Kinematic intensities with the Lorentz-polarization factor, no thermal factor.

```
data_K3Dy2PbS6
_chemical_formula_sum 'K6 Dy4 Pb2 S12'
_cell_length_a 7.095
_cell_length_b 12.286
_cell_length_c 7.755
_cell_angle_alpha 90.00
_cell_angle_beta 107.76
_cell_angle_gamma 90.00
_symmetry_space_group_name_H-M 'C 1 2/m 1'
_symmetry_Int_Tables_number 12
loop_
_symmetry_equiv_pos_as_xyz
'x,y,z'
'-x,-y,-z'
'-x,y,-z'
'x,-y,z'
'x+1/2,y+1/2,z'
'-x+1/2,-y+1/2,-z'
'-x+1/2,y+1/2,-z'
'x+1/2,-y+1/2,z'
loop_
_atom_site_label
_atom_site_type_symbol
_atom_site_fract_x
_atom_site_fract_y
_atom_site_fract_z
K1 K 0.000 0.000 0.000
K2 K 0.000 0.337 0.000
Dy1 Dy 0.000 0.167 0.500
Pb1 Pb 0.000 0.500 0.500
S1 S 0.223 0.000 0.704
S2 S 0.241 0.328 0.705
```

Largest 12 diffraction maxima, in order of rising 2θ, 2θ = 10–90°:
d (Å)  I_rel  hkl
7.385  81  0 0 1
3.693  18  0 0 2
3.502  30  1 3 0
3.378  39  2 0 0
2.987  100  1 3 1
2.362  21  1 3 2
2.183  36  2 0 2
2.048  34  0 6 0
1.973  19  0 6 1
1.791  15  3 3 1
1.751  16  2 0 3
1.689  18  4 0 0



# 2
K3Pm2DyTe6: simulated powder diffraction line list (Cu Kα (λ = 1.5418 Å)), based on a DFT-relaxed cell (PBE, Alexandria).
Kinematic intensities with the Lorentz-polarization factor, no thermal factor.

```
data_K3Pm2DyTe6
_chemical_formula_sum 'K6 Pm4 Dy2 Te12'
_cell_length_a 7.899
_cell_length_b 13.682
_cell_length_c 8.660
_cell_angle_alpha 90.00
_cell_angle_beta 107.72
_cell_angle_gamma 90.00
_symmetry_space_group_name_H-M 'C 1 2/m 1'
_symmetry_Int_Tables_number 12
loop_
_symmetry_equiv_pos_as_xyz
'x,y,z'
'-x,-y,-z'
'-x,y,-z'
'x,-y,z'
'x+1/2,y+1/2,z'
'-x+1/2,-y+1/2,-z'
'-x+1/2,y+1/2,-z'
'x+1/2,-y+1/2,z'
loop_
_atom_site_label
_atom_site_type_symbol
_atom_site_fract_x
_atom_site_fract_y
_atom_site_fract_z
K1 K 0.000 0.000 0.000
K2 K 0.000 0.331 0.000
Pm1 Pm 0.000 0.166 0.500
Dy1 Dy 0.000 0.500 0.500
Te1 Te 0.234 0.336 0.712
Te2 Te 0.243 0.000 0.712
```

Largest 12 diffraction maxima, in order of rising 2θ, 2θ = 10–90°:
d (Å)  I_rel  hkl
8.249  41  0 0 1
3.329  100  1 3 1
2.634  17  1 3 2
2.435  35  2 0 2
2.280  37  0 6 0
2.198  10  0 6 1
1.955  11  2 0 3
1.881  19  4 0 0
1.665  11  2 6 2
1.530  12  3 3 3
1.451  16  4 6 0
1.344  10  5 3 1



# 3
KDy3S4: simulated powder diffraction line list (Cu Kα (λ = 1.5418 Å)), based on a DFT-relaxed cell (PBE, Alexandria).
Kinematic intensities with the Lorentz-polarization factor, no thermal factor.

```
data_KDy3S4
_chemical_formula_sum 'K2 Dy6 S8'
_cell_length_a 3.9713
_cell_length_b 3.9713
_cell_length_c 27.4752
_cell_angle_alpha 90.00
_cell_angle_beta 90.00
_cell_angle_gamma 120.00
_symmetry_space_group_name_H-M 'P 63/m m c'
_symmetry_Int_Tables_number 194
_symmetry_space_group_name_Hall '-P 6c 2c'
loop_
_atom_site_label
_atom_site_type_symbol
_atom_site_fract_x
_atom_site_fract_y
_atom_site_fract_z
K1 K 0.3333 0.6667 0.2500
Dy1 Dy 0.0000 0.0000 0.0000
Dy2 Dy 0.3333 0.6667 0.6148
S1 S 0.0000 0.0000 0.1693
S2 S 0.3333 0.6667 0.0574
```

Largest 12 diffraction maxima, in order of rising 2θ, 2θ = 10–90°:
d (Å)  I_rel  hkl
3.434  36  0 0 8
3.413  24  1 0 1
3.220  60  1 0 3
3.075  79  1 0 4
2.915  48  1 0 5
2.750  100  1 0 6
2.587  50  1 0 7
2.021  44  1 0 11
1.986  71  1 1 0
1.906  38  1 0 12
1.719  37  0 0 16
1.610  28  2 0 6



# 4
KDySeS: simulated powder diffraction line list (Cu Kα (λ = 1.5418 Å)), based on a DFT-relaxed cell (PBE, Alexandria).
Kinematic intensities with the Lorentz-polarization factor, no thermal factor.

```
data_KDySeS
_chemical_formula_sum 'K3 Dy3 Se3 S3'
_cell_length_a 4.1065
_cell_length_b 4.1065
_cell_length_c 23.0992
_cell_angle_alpha 90.00
_cell_angle_beta 90.00
_cell_angle_gamma 120.00
_symmetry_space_group_name_H-M 'R 3 m'
_symmetry_Int_Tables_number 160
_symmetry_space_group_name_Hall 'R 3 -2"'
loop_
_atom_site_label
_atom_site_type_symbol
_atom_site_fract_x
_atom_site_fract_y
_atom_site_fract_z
K1 K 0.0000 0.0000 0.0000
Dy1 Dy 0.0000 0.0000 0.1645
Se1 Se 0.0000 0.0000 0.5689
S1 S 0.0000 0.0000 0.7681
```

Largest 12 diffraction maxima, in order of rising 2θ, 2θ = 10–90°:
d (Å)  I_rel  hkl
7.700  99  0 0 3
3.515  16  1 0 1
3.399  71  0 1 2
2.818  100  0 1 5
2.419  42  1 0 7
2.242  17  0 1 8
2.053  45  1 1 0
1.984  21  1 1 3
1.937  24  1 0 10
1.659  20  2 0 5
1.404  16  1 1 12
1.291  17  1 2 5



# 5
KDyTiS4: simulated powder diffraction line list (Cu Kα (λ = 1.5418 Å)), based on a DFT-relaxed cell (PBE, Alexandria).
Kinematic intensities with the Lorentz-polarization factor, no thermal factor.

```
data_KDyTiS4
_chemical_formula_sum 'K2 Dy2 Ti2 S8'
_cell_length_a 6.629
_cell_length_b 6.767
_cell_length_c 8.802
_cell_angle_alpha 90.00
_cell_angle_beta 107.76
_cell_angle_gamma 90.00
_symmetry_space_group_name_H-M 'P 1 21/m 1'
_symmetry_Int_Tables_number 11
loop_
_symmetry_equiv_pos_as_xyz
'x,y,z'
'-x,-y,-z'
'-x,y+1/2,-z'
'x,-y+1/2,z'
loop_
_atom_site_label
_atom_site_type_symbol
_atom_site_fract_x
_atom_site_fract_y
_atom_site_fract_z
K1 K 0.235 0.250 0.440
Dy1 Dy 0.290 0.250 0.953
Ti1 Ti 0.258 0.750 0.169
S1 S 0.048 0.750 0.919
S2 S 0.050 0.750 0.327
S3 S 0.498 0.003 0.205
```

Largest 12 diffraction maxima, in order of rising 2θ, 2θ = 10–90°:
d (Å)  I_rel  hkl
8.383  100  0 0 1
5.265  19  0 1 1
4.616  28  1 1 0
3.518  11  1 1 -2
3.383  26  0 2 0
3.138  12  0 2 1
2.970  12  2 1 -1
2.807  34  1 1 2
2.742  30  2 1 -2
2.633  16  0 2 2
2.614  13  1 2 -2
2.308  20  2 2 0



# 6
K3DyU3S8: simulated powder diffraction line list (Cu Kα (λ = 1.5418 Å)), based on a DFT-relaxed cell (PBE, Alexandria).
Kinematic intensities with the Lorentz-polarization factor, no thermal factor.

```
data_K3DyU3S8
_chemical_formula_sum 'K9 Dy3 U9 S24'
_cell_length_a 8.0437
_cell_length_b 8.0437
_cell_length_c 22.5165
_cell_angle_alpha 90.00
_cell_angle_beta 90.00
_cell_angle_gamma 120.00
_symmetry_space_group_name_H-M 'R -3 m'
_symmetry_Int_Tables_number 166
_symmetry_space_group_name_Hall '-R 3 2"'
loop_
_atom_site_label
_atom_site_type_symbol
_atom_site_fract_x
_atom_site_fract_y
_atom_site_fract_z
K1 K 0.0000 0.5000 0.0000
Dy1 Dy 0.0000 0.0000 0.5000
U1 U 0.0000 0.5000 0.5000
S1 S 0.0000 0.0000 0.2341
S2 S 0.0007 0.5003 0.7676
```

Largest 12 diffraction maxima, in order of rising 2θ, 2θ = 10–90°:
d (Å)  I_rel  hkl
7.506  100  0 0 3
3.753  18  0 0 6
3.442  36  0 2 1
3.327  35  2 0 2
2.962  79  0 2 4
2.755  15  2 0 5
2.363  23  0 2 7
2.189  29  2 0 8
2.011  26  2 2 0
1.942  21  2 2 3
1.772  14  2 2 6
1.664  14  4 0 4



# 7
K3Dy2ScTe6: simulated powder diffraction line list (Cu Kα (λ = 1.5418 Å)), based on a DFT-relaxed cell (PBE, Alexandria).
Kinematic intensities with the Lorentz-polarization factor, no thermal factor.

```
data_K3Dy2ScTe6
_chemical_formula_sum 'K6 Dy4 Sc2 Te12'
_cell_length_a 7.682
_cell_length_b 13.306
_cell_length_c 8.615
_cell_angle_alpha 90.00
_cell_angle_beta 107.32
_cell_angle_gamma 90.00
_symmetry_space_group_name_H-M 'C 1 2/m 1'
_symmetry_Int_Tables_number 12
loop_
_symmetry_equiv_pos_as_xyz
'x,y,z'
'-x,-y,-z'
'-x,y,-z'
'x,-y,z'
'x+1/2,y+1/2,z'
'-x+1/2,-y+1/2,-z'
'-x+1/2,y+1/2,-z'
'x+1/2,-y+1/2,z'
loop_
_atom_site_label
_atom_site_type_symbol
_atom_site_fract_x
_atom_site_fract_y
_atom_site_fract_z
K1 K 0.000 0.000 0.000
K2 K 0.000 0.330 0.000
Dy1 Dy 0.000 0.166 0.500
Sc1 Sc 0.000 0.500 0.500
Te1 Te 0.229 0.339 0.704
Te2 Te 0.247 0.000 0.706
```

Largest 12 diffraction maxima, in order of rising 2θ, 2θ = 10–90°:
d (Å)  I_rel  hkl
8.224  40  0 0 1
3.260  100  1 3 1
2.597  19  1 3 2
2.405  34  2 0 2
2.218  37  0 6 0
2.141  9  0 6 1
1.937  13  1 3 -4
1.834  18  4 0 0
1.630  10  2 6 2
1.508  9  3 3 3
1.413  15  4 6 0
1.314  9  4 6 -4



# 8
KDy4Se5: simulated powder diffraction line list (Cu Kα (λ = 1.5418 Å)), based on a DFT-relaxed cell (PBE, Alexandria).
Kinematic intensities with the Lorentz-polarization factor, no thermal factor.

```
data_KDy4Se5
_chemical_formula_sum 'K2 Dy8 Se10'
_cell_length_a 13.954
_cell_length_b 4.101
_cell_length_c 10.291
_cell_angle_alpha 90.00
_cell_angle_beta 120.07
_cell_angle_gamma 90.00
_symmetry_space_group_name_H-M 'C 1 2/m 1'
_symmetry_Int_Tables_number 12
loop_
_symmetry_equiv_pos_as_xyz
'x,y,z'
'-x,-y,-z'
'-x,y,-z'
'x,-y,z'
'x+1/2,y+1/2,z'
'-x+1/2,-y+1/2,-z'
'-x+1/2,y+1/2,-z'
'x+1/2,-y+1/2,z'
loop_
_atom_site_label
_atom_site_type_symbol
_atom_site_fract_x
_atom_site_fract_y
_atom_site_fract_z
K1 K 0.000 0.000 0.000
Dy1 Dy 0.092 0.500 0.402
Dy2 Dy 0.199 0.000 0.786
Se1 Se 0.000 0.000 0.500
Se2 Se 0.114 0.500 0.893
Se3 Se 0.203 0.000 0.315
```

Largest 12 diffraction maxima, in order of rising 2θ, 2θ = 10–90°:
d (Å)  I_rel  hkl
3.428  8  4 0 -1
3.366  6  1 1 1
2.942  100  2 0 2
2.108  11  6 0 -4
2.081  48  5 1 0
2.050  12  0 2 0
1.715  12  8 0 -2
1.683  13  2 2 2
1.470  7  6 2 -4
1.317  11  7 1 2
1.315  10  8 2 -2
1.190  8  5 3 0